[1]
Structure and calculated powder X-ray diffraction pattern of Pm12Er7Th (a structure optimized by DFT (PBE); copper Kα).
Intensities are scaled so that the largest is 100.

Most intense lines, 10° ≤ 2θ ≤ 90°, low angle first:
| Position (°2θ) | d_spacing | Rel. int. | (hkl) |
| --- | --- | --- | --- |
| 27.2 | 3.278 | 52 | 3 3 0 |
| 29.3 | 3.052 | 28 | 0 1 2 |
| 29.9 | 2.986 | 100 | 0 5 1 |
| 30.7 | 2.915 | 36 | 2 0 2 |
| 32.6 | 2.743 | 54 | 5 1 1 |
| 32.8 | 2.727 | 54 | 2 5 0 |
| 39.3 | 2.293 | 47 | 5 0 2 |
| 39.8 | 2.265 | 23 | 7 0 1 |
| 46.2 | 1.967 | 28 | 5 5 0 |
| 47.5 | 1.914 | 22 | 0 7 2 |

Crystal structure
a = 19.6654 Å, b = 19.6654 Å, c = 6.2039 Å
α = 90.00°, β = 90.00°, γ = 120.00°
Space group R-3 (No. 148, hexagonal axes)
Symmetry-distinct sites (fractional):
Pm: 0.9997 0.4123 0.4981 [18 per cell]
Pm: 0.0974 0.5477 0.9427 [18 per cell]
Er: 0.0000 0.0000 0.5000 [3 per cell]
Er: 0.0814 0.1643 0.7701 [18 per cell]
Th: 0.0000 0.0000 0.0000 [3 per cell]

[2]
Structure and calculated powder X-ray diffraction pattern of Pm3Er4Th (a structure optimized by DFT (PBE); copper Kα).
Intensities are scaled so that the largest is 100.

Most intense lines, 10° ≤ 2θ ≤ 90°, low angle first:
| Position (°2θ) | d_spacing | Rel. int. | (hkl) |
| --- | --- | --- | --- |
| 28.5 | 3.129 | 24 | 0 2 1 |
| 31.1 | 2.876 | 25 | 4 0 0 |
| 32.6 | 2.749 | 100 | 2 2 1 |
| 42.7 | 2.118 | 16 | 4 2 1 |
| 50.5 | 1.807 | 20 | 0 4 0 |
| 56.3 | 1.635 | 21 | 6 2 1 |
| 60.5 | 1.530 | 23 | 4 4 0 |
| 61.4 | 1.509 | 11 | 2 4 2 |
| 83.4 | 1.159 | 14 | 2 6 1 |
| 86.5 | 1.125 | 9 | 8 4 0 |

Crystal structure
a = 11.506 Å, b = 7.223 Å, c = 6.262 Å
α = 90.00°, β = 90.00°, γ = 90.00°
Space group Pmn2_1 (No. 31)
Symmetry-distinct sites (fractional):
Pm: 0.000 0.123 0.000 [2 per cell]
Pm: 0.249 0.124 0.331 [4 per cell]
Er: 0.000 0.378 0.503 [2 per cell]
Er: 0.000 0.627 0.004 [2 per cell]
Er: 0.248 0.624 0.341 [4 per cell]
Th: 0.000 0.873 0.505 [2 per cell]

[3]
Structure and calculated powder X-ray diffraction pattern of Pm7ErTh3 (a structure optimized by DFT (PBE); copper Kα).
Intensities are scaled so that the largest is 100.

Most intense lines, 10° ≤ 2θ ≤ 90°, low angle first:
| Position (°2θ) | d_spacing | Rel. int. | (hkl) |
| --- | --- | --- | --- |
| 27.3 | 3.262 | 19 | 0 1 2 |
| 30.4 | 2.936 | 26 | 0 2 -2 |
| 31.5 | 2.844 | 100 | 2 -1 1 |
| 31.6 | 2.834 | 97 | 1 2 -1 |
| 31.7 | 2.824 | 71 | -1 2 1 |
| 32.3 | 2.776 | 64 | 2 0 -2 |
| 32.4 | 2.765 | 18 | 1 0 -3 |
| 33.2 | 2.702 | 36 | 1 -2 2 |
| 33.3 | 2.690 | 43 | 1 1 2 |
| 47.0 | 1.932 | 29 | 3 1 0 |

Crystal structure
a = 6.513 Å, b = 6.799 Å, c = 8.820 Å
α = 101.59°, β = 97.47°, γ = 97.55°
Space group P-1 (No. 2)
Symmetry-distinct sites (fractional):
Pm: 0.000 0.000 0.000 [1 per cell]
Pm: 0.073 0.716 0.645 [2 per cell]
Pm: 0.198 0.230 0.702 [2 per cell]
Pm: 0.493 0.730 0.924 [2 per cell]
Er: 0.000 0.500 0.000 [1 per cell]
Th: 0.334 0.947 0.335 [2 per cell]
Th: 0.500 0.500 0.500 [1 per cell]

[4]
Structure and calculated powder X-ray diffraction pattern of PmEr7Th3 (a structure optimized by DFT (PBE); copper Kα).
Intensities are scaled so that the largest is 100.

Most intense lines, 10° ≤ 2θ ≤ 90°, low angle first:
| Position (°2θ) | d_spacing | Rel. int. | (hkl) |
| --- | --- | --- | --- |
| 31.2 | 2.869 | 100 | 0 2 1 |
| 31.5 | 2.840 | 32 | 0 0 3 |
| 36.2 | 2.478 | 67 | 2 0 2 |
| 52.0 | 1.759 | 24 | 2 2 0 |
| 52.4 | 1.746 | 24 | 0 2 4 |
| 61.9 | 1.500 | 14 | 4 0 1 |
| 62.1 | 1.496 | 29 | 2 2 3 |
| 62.5 | 1.487 | 14 | 2 0 5 |
| 65.0 | 1.435 | 12 | 0 4 2 |
| 85.0 | 1.141 | 12 | 2 4 1 |

Crystal structure
a = 7.0380 Å, b = 7.0380 Å, c = 8.5186 Å
α = 90.00°, β = 90.00°, γ = 120.00°
Space group P3m1 (No. 156)
Symmetry-distinct sites (fractional):
Pm: 0.0000 0.0000 0.0000 [1 per cell]
Er: 0.0027 0.5014 0.9960 [3 per cell]
Er: 0.3320 0.1660 0.6592 [3 per cell]
Er: 0.3333 0.6667 0.6585 [1 per cell]
Th: 0.1677 0.3354 0.3297 [3 per cell]

[5]
Structure and calculated powder X-ray diffraction pattern of Pm5Er6Th2 (a structure optimized by DFT (PBE); copper Kα).
Intensities are scaled so that the largest is 100.

Most intense lines, 10° ≤ 2θ ≤ 90°, low angle first:
| Position (°2θ) | d_spacing | Rel. int. | (hkl) |
| --- | --- | --- | --- |
| 29.2 | 3.062 | 28 | 1 3 1 |
| 30.0 | 2.976 | 19 | 2 6 0 |
| 31.0 | 2.885 | 50 | 1 7 0 |
| 31.4 | 2.852 | 100 | 4 1 0 |
| 32.2 | 2.781 | 79 | 2 3 1 |
| 34.2 | 2.623 | 55 | 2 4 1 |
| 34.8 | 2.576 | 21 | 3 6 0 |
| 36.7 | 2.447 | 20 | 3 3 1 |
| 51.1 | 1.786 | 19 | 0 0 2 |
| 61.3 | 1.513 | 21 | 4 1 2 |

Crystal structure
a = 11.509 Å, b = 20.861 Å, c = 3.572 Å
α = 90.00°, β = 90.00°, γ = 90.00°
Space group Pbam (No. 55)
Symmetry-distinct sites (fractional):
Pm: 0.000 0.000 0.000 [2 per cell]
Pm: 0.065 0.294 0.000 [4 per cell]
Pm: 0.192 0.577 0.000 [4 per cell]
Er: 0.062 0.148 0.500 [4 per cell]
Er: 0.080 0.437 0.500 [4 per cell]
Er: 0.187 0.877 0.000 [4 per cell]
Th: 0.188 0.736 0.500 [4 per cell]

[6]
Structure and calculated powder X-ray diffraction pattern of Pm10Er6Th (a structure optimized by DFT (PBE); copper Kα).
Intensities are scaled so that the largest is 100.

Most intense lines, 10° ≤ 2θ ≤ 90°, low angle first:
| Position (°2θ) | d_spacing | Rel. int. | (hkl) |
| --- | --- | --- | --- |
| 24.7 | 3.606 | 6 | 2 0 1 |
| 30.8 | 2.899 | 19 | 3 -1 1 |
| 31.7 | 2.820 | 100 | 1 1 2 |
| 45.5 | 1.994 | 15 | 4 -2 2 |
| 48.8 | 1.866 | 7 | 3 2 1 |
| 56.4 | 1.632 | 11 | 2 -1 4 |
| 56.6 | 1.627 | 16 | 4 1 2 |
| 59.3 | 1.558 | 5 | 4 0 3 |
| 62.7 | 1.482 | 6 | 6 -1 1 |
| 75.3 | 1.262 | 5 | 5 -1 4 |

Crystal structure
a = 9.7529 Å, b = 9.7529 Å, c = 6.9274 Å
α = 90.00°, β = 90.00°, γ = 120.00°
Space group P-31m (No. 162)
Symmetry-distinct sites (fractional):
Pm: 0.0000 0.2783 0.3226 [6 per cell]
Pm: 0.3333 0.6667 0.0000 [2 per cell]
Pm: 0.3333 0.6667 0.5000 [2 per cell]
Er: 0.0000 0.3651 0.8171 [6 per cell]
Th: 0.0000 0.0000 0.0000 [1 per cell]